# 1
Theoretical XRD peak list
Compound: CaPrNd4
Radiation: Cu Kα (weighted mean of Kα1 and Kα2)
Structure: DFT lattice parameters and positions (PBE)
Intensities are scaled so that the largest is 100.

Structural model:
```
data_CaPrNd4
_chemical_formula_sum 'Ca2 Pr2 Nd8'
_symmetry_space_group_name_H-M 'C 1 2/m 1'
_symmetry_Int_Tables_number 12
_symmetry_space_group_name_Hall '-C 2y'
_cell_length_a 18.1787
_cell_length_b 3.7235
_cell_length_c 6.4729
_cell_angle_alpha 90.00
_cell_angle_beta 96.66
_cell_angle_gamma 90.00
loop_
_atom_site_label
_atom_site_type_symbol
_atom_site_fract_x
_atom_site_fract_y
_atom_site_fract_z
_atom_site_occupancy
Ca1 Ca 0.0000 0.0000 0.0000 1
Pr1 Pr 0.0000 0.5000 0.5000 1
Nd1 Nd 0.1668 0.0000 0.3943 1
Nd2 Nd 0.1708 0.5000 0.8855 1
```

Top 8 peaks for 15 to 90 degrees two-theta, in order of rising 2θ:
h k l  2θ (°)  I/Imax
0 0 2  27.81  30
1 1 1  28.40  42
6 0 0  29.69  58
2 0 2  30.58  35
3 1 -1  30.70  69
3 1 1  32.26  100
1 1 -3  48.78  29
6 2 0  58.25  34

# 2
Theoretical XRD peak list
Compound: CaPrNd2Sb4
Radiation: Cu Kα (weighted mean of Kα1 and Kα2)
Structure: DFT lattice parameters and positions (PBE)
Intensities are scaled so that the largest is 100.

Structural model:
```
data_CaPrNd2Sb4
_chemical_formula_sum 'Ca4 Pr4 Nd8 Sb16'
_symmetry_space_group_name_H-M 'F m m m'
_symmetry_Int_Tables_number 69
_symmetry_space_group_name_Hall '-F 2 2'
_cell_length_a 9.0652
_cell_length_b 9.0764
_cell_length_c 12.8459
_cell_angle_alpha 90.00
_cell_angle_beta 90.00
_cell_angle_gamma 90.00
loop_
_atom_site_label
_atom_site_type_symbol
_atom_site_fract_x
_atom_site_fract_y
_atom_site_fract_z
_atom_site_occupancy
Ca1 Ca 0.0000 0.0000 0.0000 1
Pr1 Pr 0.0000 0.0000 0.5000 1
Nd1 Nd 0.2500 0.2500 0.2500 1
Sb1 Sb 0.0000 0.0000 0.2516 1
Sb2 Sb 0.2500 0.2500 0.0000 1
```

Top 8 peaks for 15 to 90 degrees two-theta, in order of rising 2θ:
h k l  2θ (°)  I/Imax
2 2 0  27.81  100
4 0 0  39.73  76
4 0 4  49.19  27
4 4 0  57.44  13
4 4 4  64.98  29
4 0 8  72.08  17
6 2 4  72.16  9
4 4 8  85.60  7

# 3
Theoretical XRD peak list
Compound: CaPr4NdSe8
Radiation: Cu Kα (weighted mean of Kα1 and Kα2)
Structure: DFT lattice parameters and positions (PBE)
Intensities are scaled so that the largest is 100.

Structural model:
```
data_CaPr4NdSe8
_chemical_formula_sum 'Ca3 Pr12 Nd3 Se24'
_symmetry_space_group_name_H-M 'R 3 m'
_symmetry_Int_Tables_number 160
_symmetry_space_group_name_Hall 'R 3 -2"'
_cell_length_a 8.7564
_cell_length_b 8.7564
_cell_length_c 21.4049
_cell_angle_alpha 90.00
_cell_angle_beta 90.00
_cell_angle_gamma 120.00
loop_
_atom_site_label
_atom_site_type_symbol
_atom_site_fract_x
_atom_site_fract_y
_atom_site_fract_z
_atom_site_occupancy
Ca1 Ca 0.0000 0.0000 0.0000 1
Pr1 Pr 0.0000 0.0000 0.2497 1
Pr2 Pr 0.1694 0.3388 0.4576 1
Nd1 Nd 0.0000 0.0000 0.6272 1
Se1 Se 0.0000 0.0000 0.3830 1
Se2 Se 0.0000 0.0000 0.8674 1
Se3 Se 0.0211 0.5105 0.3769 1
Se4 Se 0.1784 0.3567 0.2062 1
```

Top 8 peaks for 15 to 90 degrees two-theta, in order of rising 2θ:
h k l  2θ (°)  I/Imax
0 1 5  23.85  75
0 2 4  28.86  73
1 2 5  37.77  43
2 0 8  41.27  100
0 0 12  51.14  18
0 4 8  59.78  16
2 2 12  67.72  22
4 2 8  75.20  23

# 4
Theoretical XRD peak list
Compound: CaPrNd5Sm2
Radiation: Cu Kα (weighted mean of Kα1 and Kα2)
Structure: DFT lattice parameters and positions (PBE)
Intensities are scaled so that the largest is 100.

Structural model:
```
data_CaPrNd5Sm2
_chemical_formula_sum 'Ca4 Pr4 Nd20 Sm8'
_symmetry_space_group_name_H-M 'I 4/m c m'
_symmetry_Int_Tables_number 140
_symmetry_space_group_name_Hall '-I 4 2c'
_cell_length_a 9.3084
_cell_length_b 9.3084
_cell_length_c 15.1162
_cell_angle_alpha 90.00
_cell_angle_beta 90.00
_cell_angle_gamma 90.00
loop_
_atom_site_label
_atom_site_type_symbol
_atom_site_fract_x
_atom_site_fract_y
_atom_site_fract_z
_atom_site_occupancy
Ca1 Ca 0.0000 0.5000 0.2500 1
Pr1 Pr 0.0000 0.0000 0.2500 1
Nd1 Nd 0.0000 0.0000 0.0000 1
Nd2 Nd 0.2041 0.2959 0.1286 1
Sm1 Sm 0.1122 0.3878 0.5000 1
```

Top 8 peaks for 15 to 90 degrees two-theta, in order of rising 2θ:
h k l  2θ (°)  I/Imax
2 2 0  27.09  51
2 1 3  27.80  60
3 1 0  30.37  32
2 0 4  30.47  100
3 2 1  35.27  28
2 1 5  36.74  24
4 1 1  40.40  21
4 4 0  55.92  25

# 5
Theoretical XRD peak list
Compound: CaPrNdSn
Radiation: Cu Kα (weighted mean of Kα1 and Kα2)
Structure: DFT lattice parameters and positions (PBE)
Intensities are scaled so that the largest is 100.

Structural model:
```
data_CaPrNdSn
_chemical_formula_sum 'Ca2 Pr2 Nd2 Sn2'
_symmetry_space_group_name_H-M 'P 4/n m m'
_symmetry_Int_Tables_number 129
_cell_length_a 5.8916
_cell_length_b 5.8916
_cell_length_c 7.3399
_cell_angle_alpha 90.00
_cell_angle_beta 90.00
_cell_angle_gamma 90.00
loop_
_symmetry_equiv_pos_as_xyz
'x,y,z'
'-x,-y,-z'
'-y+1/2,x,z'
'y+1/2,-x,-z'
'-x+1/2,-y+1/2,z'
'x+1/2,y+1/2,-z'
'y,-x+1/2,z'
'-y,x+1/2,-z'
'x+1/2,-y,-z'
'-x+1/2,y,z'
'-y,-x,-z'
'y,x,z'
'-x,y+1/2,-z'
'x,-y+1/2,z'
'y+1/2,x+1/2,-z'
'-y+1/2,-x+1/2,z'
loop_
_atom_site_label
_atom_site_type_symbol
_atom_site_fract_x
_atom_site_fract_y
_atom_site_fract_z
_atom_site_occupancy
Ca1 Ca 0.2500 0.7500 0.0000 1
Pr1 Pr 0.2500 0.7500 0.5000 1
Nd1 Nd 0.2500 0.2500 0.2923 1
Sn1 Sn 0.2500 0.2500 0.7493 1
```

Top 8 peaks for 15 to 90 degrees two-theta, in order of rising 2θ:
h k l  2θ (°)  I/Imax
2 0 0  30.34  66
1 1 2  32.51  100
1 1 3  42.87  11
2 2 0  43.44  25
3 1 2  55.30  44
2 0 4  59.34  14
4 2 0  71.63  11
5 1 2  88.77  12

# 6
Theoretical XRD peak list
Compound: CaPrNdTh
Radiation: Cu Kα (weighted mean of Kα1 and Kα2)
Structure: DFT lattice parameters and positions (PBE)
Intensities are scaled so that the largest is 100.

Structural model:
```
data_CaPrNdTh
_chemical_formula_sum 'Ca4 Pr4 Nd4 Th4'
_symmetry_space_group_name_H-M 'F -4 3 m'
_symmetry_Int_Tables_number 216
_symmetry_space_group_name_Hall 'F -4 2 3'
_cell_length_a 8.2715
_cell_length_b 8.2715
_cell_length_c 8.2715
_cell_angle_alpha 90.00
_cell_angle_beta 90.00
_cell_angle_gamma 90.00
loop_
_atom_site_label
_atom_site_type_symbol
_atom_site_fract_x
_atom_site_fract_y
_atom_site_fract_z
_atom_site_occupancy
Ca1 Ca 0.0000 0.0000 0.0000 1
Pr1 Pr 0.2500 0.2500 0.7500 1
Nd1 Nd 0.2500 0.2500 0.2500 1
Th1 Th 0.0000 0.0000 0.5000 1
```

Top 8 peaks for 15 to 90 degrees two-theta, in order of rising 2θ:
h k l  2θ (°)  I/Imax
1 1 1  18.58  23
2 2 0  30.57  100
3 1 1  36.01  14
4 0 0  43.78  19
4 2 2  54.33  40
4 4 0  63.64  12
6 2 0  72.24  17
6 4 2  88.45  21

# 7
Theoretical XRD peak list
Compound: Ca4NdPt5
Radiation: Cu Kα (weighted mean of Kα1 and Kα2)
Structure: DFT lattice parameters and positions (PBE)
Intensities are scaled so that the largest is 100.

Structural model:
```
data_Ca4NdPt5
_chemical_formula_sum 'Ca4 Nd1 Pt5'
_symmetry_space_group_name_H-M 'P 4/m m m'
_symmetry_Int_Tables_number 123
_symmetry_space_group_name_Hall '-P 4 2'
_cell_length_a 3.5417
_cell_length_b 3.5417
_cell_length_c 17.4218
_cell_angle_alpha 90.00
_cell_angle_beta 90.00
_cell_angle_gamma 90.00
loop_
_atom_site_label
_atom_site_type_symbol
_atom_site_fract_x
_atom_site_fract_y
_atom_site_fract_z
_atom_site_occupancy
Ca1 Ca 0.0000 0.0000 0.0981 1
Ca2 Ca 0.0000 0.0000 0.2937 1
Nd1 Nd 0.0000 0.0000 0.5000 1
Pt1 Pt 0.5000 0.5000 0.0000 1
Pt2 Pt 0.5000 0.5000 0.1976 1
Pt3 Pt 0.5000 0.5000 0.3996 1
```

Top 8 peaks for 15 to 90 degrees two-theta, in order of rising 2θ:
h k l  2θ (°)  I/Imax
1 0 0  25.14  32
0 0 5  25.57  15
1 1 0  35.86  51
1 0 5  36.16  100
1 1 5  44.55  15
2 0 0  51.61  18
2 1 5  64.64  37
1 1 10  65.24  18

# 8
Theoretical XRD peak list
Compound: CaNd4Pt2
Radiation: Cu Kα (weighted mean of Kα1 and Kα2)
Structure: DFT lattice parameters and positions (PBE)
Intensities are scaled so that the largest is 100.

Structural model:
```
data_CaNd4Pt2
_chemical_formula_sum 'Ca2 Nd8 Pt4'
_symmetry_space_group_name_H-M 'P 1 21/m 1'
_symmetry_Int_Tables_number 11
_symmetry_space_group_name_Hall '-P 2yb'
_cell_length_a 8.0917
_cell_length_b 6.7315
_cell_length_c 8.1916
_cell_angle_alpha 90.00
_cell_angle_beta 111.71
_cell_angle_gamma 90.00
loop_
_atom_site_label
_atom_site_type_symbol
_atom_site_fract_x
_atom_site_fract_y
_atom_site_fract_z
_atom_site_occupancy
Ca1 Ca 0.1591 0.2500 0.0187 1
Nd1 Nd 0.0164 0.2500 0.3790 1
Nd2 Nd 0.2472 0.7500 0.3373 1
Nd3 Nd 0.4079 0.0036 0.7567 1
Pt1 Pt 0.2820 0.7500 0.9935 1
Pt2 Pt 0.3780 0.2500 0.4103 1
```

Top 8 peaks for 15 to 90 degrees two-theta, in order of rising 2θ:
h k l  2θ (°)  I/Imax
1 1 -1  18.63  44
1 2 -1  29.66  68
2 1 1  33.04  72
2 0 -3  34.62  100
2 2 -1  34.80  58
0 2 2  35.61  50
3 0 0  35.84  36
3 1 0  38.33  35

# 9
Theoretical XRD peak list
Compound: CaNdPt2
Radiation: Cu Kα (weighted mean of Kα1 and Kα2)
Structure: DFT lattice parameters and positions (PBE)
Intensities are scaled so that the largest is 100.

Structural model:
```
data_CaNdPt2
_chemical_formula_sum 'Ca2 Nd2 Pt4'
_symmetry_space_group_name_H-M 'A m m 2'
_symmetry_Int_Tables_number 38
_symmetry_space_group_name_Hall 'A 2 -2'
_cell_length_a 4.4263
_cell_length_b 3.9720
_cell_length_c 10.8468
_cell_angle_alpha 90.00
_cell_angle_beta 90.00
_cell_angle_gamma 90.00
loop_
_atom_site_label
_atom_site_type_symbol
_atom_site_fract_x
_atom_site_fract_y
_atom_site_fract_z
_atom_site_occupancy
Ca1 Ca 0.0000 0.0000 0.0000 1
Nd1 Nd 0.5000 0.0000 0.2813 1
Pt1 Pt 0.0000 0.0000 0.7226 1
Pt2 Pt 0.5000 0.0000 0.5582 1
```

Top 8 peaks for 15 to 90 degrees two-theta, in order of rising 2θ:
h k l  2θ (°)  I/Imax
0 0 2  16.34  33
0 1 1  23.86  41
1 1 1  31.36  93
1 0 4  38.95  40
1 1 3  39.37  100
2 0 0  40.77  32
0 2 0  45.68  23
0 1 5  47.78  24

# 10
Theoretical XRD peak list
Compound: CaNd2Pt
Radiation: Cu Kα (weighted mean of Kα1 and Kα2)
Structure: DFT lattice parameters and positions (PBE)
Intensities are scaled so that the largest is 100.

Structural model:
```
data_CaNd2Pt
_chemical_formula_sum 'Ca4 Nd8 Pt4'
_symmetry_space_group_name_H-M 'P b c m'
_symmetry_Int_Tables_number 57
_symmetry_space_group_name_Hall '-P 2c 2b'
_cell_length_a 10.4496
_cell_length_b 6.7689
_cell_length_c 7.6008
_cell_angle_alpha 90.00
_cell_angle_beta 90.00
_cell_angle_gamma 90.00
loop_
_atom_site_label
_atom_site_type_symbol
_atom_site_fract_x
_atom_site_fract_y
_atom_site_fract_z
_atom_site_occupancy
Ca1 Ca 0.1264 0.2366 0.2500 1
Nd1 Nd 0.1941 0.7500 0.0000 1
Nd2 Nd 0.4551 0.2500 0.0000 1
Pt1 Pt 0.3546 0.5451 0.7500 1
```

Top 8 peaks for 15 to 90 degrees two-theta, in order of rising 2θ:
h k l  2θ (°)  I/Imax
1 1 0  15.60  43
1 1 1  19.51  100
2 1 1  24.50  80
2 1 2  31.98  95
3 0 2  34.94  72
0 2 2  35.52  86
1 2 2  36.58  45
3 2 0  37.04  73

# 11
Theoretical XRD peak list
Compound: CaNd2PuTe4
Radiation: Cu Kα (weighted mean of Kα1 and Kα2)
Structure: DFT lattice parameters and positions (PBE)
Intensities are scaled so that the largest is 100.

Structural model:
```
data_CaNd2PuTe4
_chemical_formula_sum 'Ca2 Nd4 Pu2 Te8'
_symmetry_space_group_name_H-M 'I -4 m 2'
_symmetry_Int_Tables_number 119
_symmetry_space_group_name_Hall 'I -4 -2'
_cell_length_a 6.3395
_cell_length_b 6.3395
_cell_length_c 12.6964
_cell_angle_alpha 90.00
_cell_angle_beta 90.00
_cell_angle_gamma 90.00
loop_
_atom_site_label
_atom_site_type_symbol
_atom_site_fract_x
_atom_site_fract_y
_atom_site_fract_z
_atom_site_occupancy
Ca1 Ca 0.0000 0.0000 0.0000 1
Nd1 Nd 0.0000 0.0000 0.5000 1
Nd2 Nd 0.0000 0.5000 0.2500 1
Pu1 Pu 0.0000 0.5000 0.7500 1
Te1 Te 0.0000 0.0000 0.2470 1
Te2 Te 0.0000 0.5000 0.5023 1
```

Top 8 peaks for 15 to 90 degrees two-theta, in order of rising 2θ:
h k l  2θ (°)  I/Imax
1 0 1  15.62  8
2 0 0  28.14  100
2 2 0  40.22  77
2 2 4  49.80  28
4 0 0  58.18  13
4 2 0  65.86  35
4 2 4  73.09  26
4 4 0  86.88  8

# 12
Theoretical XRD peak list
Compound: RbCaNd2Se4
Radiation: Cu Kα (weighted mean of Kα1 and Kα2)
Structure: DFT lattice parameters and positions (PBE)
Intensities are scaled so that the largest is 100.

Structural model:
```
data_RbCaNd2Se4
_chemical_formula_sum 'Rb4 Ca4 Nd8 Se16'
_symmetry_space_group_name_H-M 'I m m a'
_symmetry_Int_Tables_number 74
_symmetry_space_group_name_Hall '-I 2b 2'
_cell_length_a 8.6168
_cell_length_b 8.8514
_cell_length_c 12.3504
_cell_angle_alpha 90.00
_cell_angle_beta 90.00
_cell_angle_gamma 90.00
loop_
_atom_site_label
_atom_site_type_symbol
_atom_site_fract_x
_atom_site_fract_y
_atom_site_fract_z
_atom_site_occupancy
Rb1 Rb 0.2500 0.2500 0.2500 1
Ca1 Ca 0.0000 0.0000 0.0000 1
Nd1 Nd 0.0000 0.0000 0.5000 1
Nd2 Nd 0.2500 0.2500 0.7500 1
Se1 Se 0.0000 0.0223 0.7477 1
Se2 Se 0.2496 0.2500 0.5095 1
```

Top 8 peaks for 15 to 90 degrees two-theta, in order of rising 2θ:
h k l  2θ (°)  I/Imax
0 0 4  28.92  100
0 4 0  40.78  12
2 2 4  41.36  49
4 0 0  41.94  12
0 4 4  50.76  13
4 0 4  51.74  13
0 0 8  59.92  12
2 2 8  67.88  21

# 13
Theoretical XRD peak list
Compound: Ca2Nd2Rh3
Radiation: Cu Kα (weighted mean of Kα1 and Kα2)
Structure: DFT lattice parameters and positions (PBE)
Intensities are scaled so that the largest is 100.

Structural model:
```
data_Ca2Nd2Rh3
_chemical_formula_sum 'Ca4 Nd4 Rh6'
_symmetry_space_group_name_H-M 'C 1 2/m 1'
_symmetry_Int_Tables_number 12
_symmetry_space_group_name_Hall '-C 2y'
_cell_length_a 8.5472
_cell_length_b 4.9432
_cell_length_c 8.5306
_cell_angle_alpha 90.00
_cell_angle_beta 109.48
_cell_angle_gamma 90.00
loop_
_atom_site_label
_atom_site_type_symbol
_atom_site_fract_x
_atom_site_fract_y
_atom_site_fract_z
_atom_site_occupancy
Ca1 Ca 0.1277 0.0000 0.3831 1
Nd1 Nd 0.1217 0.5000 0.8651 1
Rh1 Rh 0.0000 0.0000 0.0000 1
Rh2 Rh 0.2434 0.5000 0.2304 1
```

Top 8 peaks for 15 to 90 degrees two-theta, in order of rising 2θ:
h k l  2θ (°)  I/Imax
1 1 -2  27.87  23
0 2 0  36.38  100
2 0 2  36.45  95
3 1 0  38.12  25
2 2 2  52.45  33
6 0 -2  65.49  50
1 1 5  65.65  14
7 1 -5  88.68  13